This entry pairs a crystal structure of YZr2PdS with its theoretical powder diffractogram. Radiation: Cu Kα. Structure: the PBE geometry in Alexandria.
Lines closer than 0.1° are merged.

Lattice parameters (Å, degrees): 5.2571 5.2571 4.8701 90.00 90.00 90.00
Space group P4/mmm (No. 123)
Asymmetric unit:
Y 0.0000 0.0000 0.0000 (multiplicity 1)
Zr 0.0000 0.5000 0.0000 (multiplicity 2)
Pd 0.5000 0.5000 0.5000 (multiplicity 1)
S 0.0000 0.0000 0.5000 (multiplicity 1)

Main lines, low angle first (10 to 90 degrees two-theta):
hkl 0 0 1, 2θ = 18.22°, rel. 25; hkl 1 0 1, 2θ = 24.92°, rel. 71; hkl 1 1 1, 2θ = 30.25°, rel. 89; hkl 2 0 0, 2θ = 34.11°, rel. 100; hkl 0 0 2, 2θ = 36.91°, rel. 40; hkl 2 1 1, 2θ = 42.71°, rel. 34; hkl 2 2 0, 2θ = 49.01°, rel. 35; hkl 2 0 2, 2θ = 51.13°, rel. 61; hkl 3 1 1, 2θ = 58.68°, rel. 25; hkl 2 2 2, 2θ = 62.91°, rel. 32